Simulated XRD peak list of LaSiP3 for CuKα, from a crystal structure in Alexandria, relaxed with GGA-PBE.
Peak positions follow from Bragg's law for the DFT cell and can differ from measured ones.

Most intense lines, 5 to 70 degrees two-theta, sorted by position:
2θ 6.89, rel. 35, hkl 0 2 0
2θ 22.02, rel. 100, hkl 1 1 1
2θ 27.90, rel. 69, hkl 1 5 1
2θ 30.50, rel. 40, hkl 0 0 2
2θ 31.38, rel. 39, hkl 2 0 0
2θ 32.81, rel. 60, hkl 1 7 1
2θ 37.18, rel. 40, hkl 0 6 2
2θ 37.92, rel. 38, hkl 2 6 0
2θ 44.32, rel. 46, hkl 2 0 2
2θ 44.71, rel. 39, hkl 1 11 1

a = 5.702 Å, b = 25.675 Å, c = 5.862 Å
α = 90.00°, β = 90.00°, γ = 90.00°
Sites, in units of the cell vectors:
1 La 0.000 0.091 0.000
2 La 0.000 0.409 0.500
3 La 0.000 0.591 0.500
4 La 0.000 0.909 0.000
5 La 0.500 0.091 0.500
6 La 0.500 0.409 0.000
7 La 0.500 0.591 0.000
8 La 0.500 0.909 0.500
9 Si 0.086 0.208 0.415
10 Si 0.086 0.292 0.915
11 Si 0.414 0.708 0.415
12 Si 0.414 0.792 0.915
13 Si 0.586 0.208 0.085
14 Si 0.586 0.292 0.585
15 Si 0.914 0.708 0.085
16 Si 0.914 0.792 0.585
17 P 0.002 0.627 0.995
18 P 0.002 0.873 0.495
19 P 0.019 0.713 0.452
20 P 0.019 0.787 0.952
21 P 0.250 0.000 0.250
22 P 0.250 0.000 0.750
23 P 0.250 0.500 0.250
24 P 0.250 0.500 0.750
25 P 0.481 0.213 0.452
26 P 0.481 0.287 0.952
27 P 0.498 0.127 0.995
28 P 0.498 0.373 0.495
29 P 0.502 0.627 0.505
30 P 0.502 0.873 0.005
31 P 0.519 0.713 0.048
32 P 0.519 0.787 0.548
33 P 0.750 0.000 0.250
34 P 0.750 0.000 0.750
35 P 0.750 0.500 0.250
36 P 0.750 0.500 0.750
37 P 0.981 0.213 0.048
38 P 0.981 0.287 0.548
39 P 0.998 0.127 0.505
40 P 0.998 0.373 0.005